This entry pairs a crystal structure of Tb3NbO7 with its theoretical powder XRD pattern. Radiation: Cu Kα X-rays. Structure: a cell relaxed with PBE.
Peak positions follow from Bragg's law for the DFT cell and can differ from measured ones.

Cell and atoms:
```
Tb3NbO7
1.0
7.4840 0.0000 0.0000
0.0000 10.6455 0.0000
0.0000 0.0000 7.6055
Tb Nb O
12 4 28
Direct
0.0161 0.2500 0.2019
0.2492 0.5224 0.0361
0.2492 0.9776 0.0361
0.2508 0.0224 0.5361
0.2508 0.4776 0.5361
0.4839 0.7500 0.7019
0.5161 0.2500 0.2981
0.7492 0.5224 0.4639
0.7492 0.9776 0.4639
0.7508 0.0224 0.9639
0.7508 0.4776 0.9639
0.9839 0.7500 0.7981
0.0053 0.2500 0.7468
0.4947 0.7500 0.2468
0.5053 0.2500 0.7532
0.9947 0.7500 0.2532
0.0384 0.1248 0.9552
0.0384 0.3752 0.9552
0.0438 0.6092 0.4071
0.0438 0.8908 0.4071
0.2417 0.6162 0.7688
0.2417 0.8838 0.7688
0.2489 0.2500 0.6590
0.2511 0.7500 0.1590
0.2583 0.1162 0.2688
0.2583 0.3838 0.2688
0.4562 0.1092 0.9071
0.4562 0.3908 0.9071
0.4616 0.6248 0.4552
0.4616 0.8752 0.4552
0.5384 0.1248 0.5448
0.5384 0.3752 0.5448
0.5438 0.6092 0.0929
0.5438 0.8908 0.0929
0.7417 0.6162 0.7312
0.7417 0.8838 0.7312
0.7489 0.2500 0.8410
0.7511 0.7500 0.3410
0.7583 0.1162 0.2312
0.7583 0.3838 0.2312
0.9562 0.1092 0.5929
0.9562 0.3908 0.5929
0.9616 0.6248 0.0448
0.9616 0.8752 0.0448
```

Top 10 peaks for 2θ from 10° to 80°, low angle first:
2θ = 28.9°, I 919
2θ = 29.2°, I 1000
2θ = 33.6°, I 679
2θ = 48.3°, I 464
2θ = 48.7°, I 169
2θ = 52.6°, I 96
2θ = 57.0°, I 133
2θ = 57.3°, I 93
2θ = 57.5°, I 353
2θ = 60.5°, I 98

=====

This entry pairs a crystal structure of NbTlTcO6 with its theoretical powder XRD pattern. Radiation: Cu Kα X-rays. Structure: a cell relaxed with PBE.
Peak positions follow from Bragg's law for the DFT cell and can differ from measured ones.

Cell and atoms:
```
NbTlTcO6
1.0
5.2849 0.0000 0.0000
-2.4374 4.7274 0.0000
-0.1280 -0.2804 6.0302
Nb Tl Tc O
1 1 1 6
Direct
0.0000 0.0000 0.0000
0.6522 0.3055 0.5500
0.3253 0.6473 0.0838
0.0627 0.3381 0.2322
0.0744 0.7114 0.8569
0.2373 0.9063 0.2423
0.2746 0.3302 0.8634
0.6484 0.9376 0.8702
0.6537 0.7182 0.2237
```

Top 10 peaks for 2θ from 10° to 80°, low angle first:
2θ = 23.4°, I 217
2θ = 23.5°, I 421
2θ = 24.5°, I 1000
2θ = 24.7°, I 232
2θ = 29.6°, I 178
2θ = 32.5°, I 198
2θ = 33.8°, I 173
2θ = 34.0°, I 169
2θ = 43.3°, I 129
2θ = 46.2°, I 240

=====

This entry pairs a crystal structure of NbTeO2 with its theoretical powder XRD pattern. Radiation: Cu Kα X-rays. Structure: a cell relaxed with PBE.
Peak positions follow from Bragg's law for the DFT cell and can differ from measured ones.

Cell and atoms:
```
NbTeO2
1.0
0.0000 4.3873 4.3873
4.3873 0.0000 4.3873
4.3873 4.3873 0.0000
Nb Te O
2 2 4
Direct
0.1250 0.1250 0.1250
0.8750 0.8750 0.8750
0.3750 0.3750 0.3750
0.6250 0.6250 0.6250
0.0000 0.0000 0.0000
0.0000 0.0000 0.5000
0.0000 0.5000 0.0000
0.5000 0.0000 0.0000
```

Top 9 peaks for 2θ from 10° to 80°, low angle first:
2θ = 28.8°, I 1000
2θ = 33.9°, I 36
2θ = 35.4°, I 9
2θ = 41.2°, I 137
2θ = 51.0°, I 398
2θ = 54.3°, I 11
2θ = 59.6°, I 156
2θ = 67.5°, I 168
2θ = 75.0°, I 33